For GaAg4Au, a GGA-PBE-relaxed structure gives the simulated PXRD pattern in this record (λ = 1.5418 Å (Cu Kα)).

Largest 8 diffraction maxima, by angle, 2θ = 15–90°:
(hkl), 2theta, d_spacing, I/Imax
1 0 -2, 35.5, 2.528, 26.1
0 0 3, 35.6, 2.520, 24.6
0 2 0, 37.7, 2.388, 78.0
1 1 1, 40.1, 2.247, 100.0
1 1 -2, 40.4, 2.234, 95.6
0 1 3, 40.5, 2.229, 96.2
1 2 -2, 52.8, 1.735, 32.0
0 3 3, 69.8, 1.347, 36.4

Atomic structure:
```
data_GaAg4Au
_chemical_formula_sum 'Ga1 Ag4 Au1'
_symmetry_space_group_name_H-M 'P 1 m 1'
_symmetry_Int_Tables_number 6
_symmetry_space_group_name_Hall 'P -2y'
_cell_length_a 2.9369
_cell_length_b 4.7764
_cell_length_c 7.6891
_cell_angle_alpha 90.00
_cell_angle_beta 100.52
_cell_angle_gamma 90.00
loop_
_atom_site_label
_atom_site_type_symbol
_atom_site_fract_x
_atom_site_fract_y
_atom_site_fract_z
Ga1 Ga 0.0000 0.0000 0.0000
Ag1 Ag 0.3407 0.0000 0.6749
Ag2 Ag 0.5525 0.5000 0.1106
Ag3 Ag 0.6704 0.0000 0.3312
Ag4 Ag 0.8907 0.5000 0.7814
Au1 Au 0.2234 0.5000 0.4480
```